For CrMoO4, a crystal structure in Alexandria, relaxed with PBE+U gives the computed X-ray powder pattern in this record (Cu Kα (weighted mean of Kα1 and Kα2)).
Lines closer than 0.1° are merged.

Largest 8 diffraction maxima, by angle, 2θ = 10–90°:
| index | d_spacing | two_theta | I (rel.) |
| --- | --- | --- | --- |
| 1 1 0 | 4.624 | 19.19 | 25 |
| 0 2 0 | 3.305 | 26.98 | 74 |
| 2 0 0 | 3.236 | 27.56 | 69 |
| 1 1 1 | 2.592 | 34.61 | 100 |
| 2 2 0 | 2.312 | 38.95 | 21 |
| 1 3 1 | 1.736 | 52.74 | 46 |
| 3 1 1 | 1.715 | 53.41 | 43 |
| 3 3 1 | 1.383 | 67.77 | 28 |

Structure:
Cell: 6.472 6.609 3.130 Å, 90.00 90.00 90.00°
Space group Cmmm (No. 65)
Unique sites:
Cr1 0.000 0.000 0.000 x2
Mo1 0.000 0.500 0.500 x2
O1 0.000 0.304 0.000 x4
O2 0.200 0.000 0.500 x4